Starting from a GGA-PBE-relaxed structure, the PXRD pattern of Sr2Cd3Ag9 was computed for a wavelength of 1.5418 Å.
Intensities are scaled so that the largest is 100.

Main lines, most intense first (10 to 90 degrees two-theta):
2θ (°)	d_spacing	I_rel
34.7	2.586	100
36.1	2.491	93
36.8	2.441	59
36.6	2.456	45
40.7	2.219	42
37.3	2.413	35
34.4	2.605	31
14.9	5.934	28
42.5	2.128	27
30.5	2.929	23
42.6	2.122	22
41.4	2.183	19

Structural model:
a = 8.5138 Å, b = 8.5138 Å, c = 9.7654 Å
α = 90.00°, β = 90.00°, γ = 61.36°
Atoms (fractional coordinates):
1 Sr 0.0116 0.6809 0.7500
2 Sr 0.3191 0.9884 0.7500
3 Sr 0.6809 0.0116 0.2500
4 Sr 0.9884 0.3191 0.2500
5 Cd 0.0000 0.0000 0.0000
6 Cd 0.0000 0.0000 0.5000
7 Cd 0.3105 0.3105 0.0000
8 Cd 0.3105 0.3105 0.5000
9 Cd 0.6895 0.6895 0.0000
10 Cd 0.6895 0.6895 0.5000
11 Ag 0.0238 0.6497 0.0932
12 Ag 0.0238 0.6497 0.4068
13 Ag 0.1602 0.8398 0.2500
14 Ag 0.3412 0.6588 0.5284
15 Ag 0.3412 0.6588 0.9716
16 Ag 0.3503 0.9762 0.0932
17 Ag 0.3503 0.9762 0.4068
18 Ag 0.3663 0.4438 0.2500
19 Ag 0.4438 0.3663 0.7500
20 Ag 0.5562 0.6337 0.2500
21 Ag 0.6337 0.5562 0.7500
22 Ag 0.6497 0.0238 0.5932
23 Ag 0.6497 0.0238 0.9068
24 Ag 0.6588 0.3412 0.0284
25 Ag 0.6588 0.3412 0.4716
26 Ag 0.8398 0.1602 0.7500
27 Ag 0.9762 0.3503 0.5932
28 Ag 0.9762 0.3503 0.9068